(1)
The following is a simulated powder diffraction line list of Ti6CoPd3. It was derived from the PBE geometry in Alexandria, using λ = 1.5418 Å (Cu Kα).

Largest 10 diffraction maxima, sorted by position, 2θ from 5° to 70°:
- d 3.319, rel. 87
- d 3.126, rel. 89
- d 3.016, rel. 31
- d 2.734, rel. 32
- d 2.362, rel. 23
- d 2.198, rel. 100
- d 1.988, rel. 37
- d 1.913, rel. 33
- d 1.860, rel. 59
- d 1.802, rel. 34

Atomic structure:
```
data_Ti6CoPd3
_chemical_formula_sum 'Ti6 Co1 Pd3'
_space_group_name_H-M_alt 'P 1'
_space_group_IT_number 1
_cell_length_a 6.2683
_cell_length_b 6.2683
_cell_length_c 6.4458
_cell_angle_alpha 116.60
_cell_angle_beta 116.60
_cell_angle_gamma 57.52
loop_
_space_group_symop_operation_xyz
'x,y,z'
loop_
_atom_site_label
_atom_site_fract_x
_atom_site_fract_y
_atom_site_fract_z
_atom_site_occupancy
Ti1 0.1587 0.6626 0.6432 1
Ti2 0.2304 0.2304 0.8461 1
Ti3 0.3374 0.8413 0.3568 1
Ti4 0.6626 0.1587 0.6432 1
Ti5 0.7696 0.7696 0.1539 1
Ti6 0.8413 0.3374 0.3568 1
Co1 0.0000 0.0000 0.5000 1
Pd1 0.2554 0.2554 0.2605 1
Pd2 0.5000 0.5000 0.0000 1
Pd3 0.7446 0.7446 0.7395 1
```


(2)
The following is a simulated powder diffraction line list of La3ZnSi2. It was derived from the PBE geometry in Alexandria, using λ = 1.5418 Å (Cu Kα).

Largest 10 diffraction maxima, sorted by position, 2θ from 5° to 70°:
- d 3.855, rel. 41
- d 3.383, rel. 37
- d 3.367, rel. 32
- d 3.037, rel. 45
- d 2.963, rel. 34
- d 2.927, rel. 100
- d 2.900, rel. 37
- d 2.877, rel. 33
- d 2.655, rel. 68
- d 2.159, rel. 41

Atomic structure:
```
data_La3ZnSi2
_chemical_formula_sum 'La12 Zn4 Si8'
_space_group_name_H-M_alt 'P 1'
_space_group_IT_number 1
_cell_length_a 12.2329
_cell_length_b 4.3174
_cell_length_c 11.9423
_cell_angle_alpha 90.00
_cell_angle_beta 90.00
_cell_angle_gamma 90.00
loop_
_space_group_symop_operation_xyz
'x,y,z'
loop_
_atom_site_label
_atom_site_fract_x
_atom_site_fract_y
_atom_site_fract_z
_atom_site_occupancy
La1 0.0592 0.2500 0.1141 1
La2 0.1228 0.7500 0.5645 1
La3 0.1972 0.2500 0.7936 1
La4 0.3028 0.7500 0.2936 1
La5 0.3772 0.2500 0.0645 1
La6 0.4408 0.7500 0.6141 1
La7 0.5592 0.2500 0.3859 1
La8 0.6228 0.7500 0.9355 1
La9 0.6972 0.2500 0.7064 1
La10 0.8028 0.7500 0.2064 1
La11 0.8772 0.2500 0.4355 1
La12 0.9408 0.7500 0.8859 1
Zn1 0.1355 0.2500 0.3617 1
Zn2 0.3645 0.7500 0.8617 1
Zn3 0.6355 0.2500 0.1383 1
Zn4 0.8645 0.7500 0.6383 1
Si1 0.0337 0.7500 0.3170 1
Si2 0.1969 0.7500 0.9879 1
Si3 0.3031 0.2500 0.4879 1
Si4 0.4663 0.2500 0.8170 1
Si5 0.5337 0.7500 0.1830 1
Si6 0.6969 0.7500 0.5121 1
Si7 0.8031 0.2500 0.0121 1
Si8 0.9663 0.2500 0.6830 1
```


(3)
The following is a simulated powder diffraction line list of BaTl2AgPb. It was derived from the PBE geometry in Alexandria, using λ = 1.5418 Å (Cu Kα).

Largest 10 diffraction maxima, sorted by position, 2θ from 5° to 70°:
- d 6.142, rel. 16
- d 3.193, rel. 28
- d 3.111, rel. 100
- d 2.556, rel. 30
- d 2.546, rel. 29
- d 2.339, rel. 39
- d 2.214, rel. 19
- d 1.993, rel. 15
- d 1.804, rel. 21
- d 1.672, rel. 16

Atomic structure:
```
data_BaTl2AgPb
_chemical_formula_sum 'Ba2 Tl4 Ag2 Pb2'
_space_group_name_H-M_alt 'P 1'
_space_group_IT_number 1
_cell_length_a 5.0924
_cell_length_b 5.1116
_cell_length_c 12.2849
_cell_angle_alpha 90.00
_cell_angle_beta 90.00
_cell_angle_gamma 90.00
loop_
_space_group_symop_operation_xyz
'x,y,z'
loop_
_atom_site_label
_atom_site_fract_x
_atom_site_fract_y
_atom_site_fract_z
_atom_site_occupancy
Ba1 0.0000 0.0000 0.0000 1
Ba2 0.5000 0.5000 0.5000 1
Tl1 0.0000 0.0000 0.6049 1
Tl2 0.0000 0.5000 0.2611 1
Tl3 0.5000 0.0000 0.7611 1
Tl4 0.5000 0.5000 0.1049 1
Ag1 0.0000 0.0000 0.3774 1
Ag2 0.5000 0.5000 0.8774 1
Pb1 0.0000 0.5000 0.7559 1
Pb2 0.5000 0.0000 0.2559 1
```


(4)
The following is a simulated powder diffraction line list of CaEr4Hg4. It was derived from the PBE geometry in Alexandria, using λ = 1.5418 Å (Cu Kα).

Largest 10 diffraction maxima, sorted by position, 2θ from 5° to 70°:
- d 6.981, rel. 74
- d 4.936, rel. 34
- d 3.122, rel. 100
- d 2.898, rel. 33
- d 2.781, rel. 40
- d 2.476, rel. 72
- d 2.213, rel. 47
- d 2.175, rel. 27
- d 2.124, rel. 32
- d 1.370, rel. 30

Atomic structure:
```
data_CaEr4Hg4
_chemical_formula_sum 'Ca2 Er8 Hg8'
_space_group_name_H-M_alt 'P 1'
_space_group_IT_number 1
_cell_length_a 9.8727
_cell_length_b 9.8727
_cell_length_c 5.7962
_cell_angle_alpha 90.00
_cell_angle_beta 90.00
_cell_angle_gamma 90.00
loop_
_space_group_symop_operation_xyz
'x,y,z'
loop_
_atom_site_label
_atom_site_fract_x
_atom_site_fract_y
_atom_site_fract_z
_atom_site_occupancy
Ca1 0.2500 0.2500 0.2500 1
Ca2 0.7500 0.7500 0.7500 1
Er1 0.1024 0.6622 0.1810 1
Er2 0.1622 0.8976 0.6810 1
Er3 0.3378 0.6024 0.6810 1
Er4 0.3976 0.8378 0.1810 1
Er5 0.6024 0.1622 0.8190 1
Er6 0.6622 0.3976 0.3190 1
Er7 0.8378 0.1024 0.3190 1
Er8 0.8976 0.3378 0.8190 1
Hg1 0.0296 0.6026 0.6847 1
Hg2 0.1026 0.9704 0.1847 1
Hg3 0.3974 0.5296 0.1847 1
Hg4 0.4704 0.8974 0.6847 1
Hg5 0.5296 0.1026 0.3153 1
Hg6 0.6026 0.4704 0.8153 1
Hg7 0.8974 0.0296 0.8153 1
Hg8 0.9704 0.3974 0.3153 1
```


(5)
The following is a simulated powder diffraction line list of CeZn12. It was derived from the PBE geometry in Alexandria, using λ = 1.5418 Å (Cu Kα).

Largest 10 diffraction maxima, sorted by position, 2θ from 5° to 70°:
- d 3.177, rel. 19
- d 2.634, rel. 18
- d 2.586, rel. 47
- d 2.267, rel. 77
- d 2.237, rel. 100
- d 2.227, rel. 59
- d 2.020, rel. 43
- d 1.999, rel. 14
- d 1.992, rel. 20
- d 1.431, rel. 23

Atomic structure:
```
data_CeZn12
_chemical_formula_sum 'Ce1 Zn12'
_space_group_name_H-M_alt 'P 1'
_space_group_IT_number 1
_cell_length_a 6.8264
_cell_length_b 6.8264
_cell_length_c 6.8264
_cell_angle_alpha 98.56
_cell_angle_beta 98.56
_cell_angle_gamma 134.61
loop_
_space_group_symop_operation_xyz
'x,y,z'
loop_
_atom_site_label
_atom_site_fract_x
_atom_site_fract_y
_atom_site_fract_z
_atom_site_occupancy
Ce1 0.0000 0.0000 0.0000 1
Zn1 0.0000 0.0000 0.5000 1
Zn2 0.0000 0.3542 0.3542 1
Zn3 0.0000 0.5000 0.0000 1
Zn4 0.0000 0.6458 0.6458 1
Zn5 0.2810 0.5000 0.7810 1
Zn6 0.3542 0.0000 0.3542 1
Zn7 0.5000 0.0000 0.0000 1
Zn8 0.5000 0.2810 0.7810 1
Zn9 0.5000 0.5000 0.5000 1
Zn10 0.5000 0.7190 0.2190 1
Zn11 0.6458 0.0000 0.6458 1
Zn12 0.7190 0.5000 0.2190 1
```